Record 1
This entry pairs a crystal structure of ScSn4Ru with its computed powder diffraction line list. Radiation: Cu Kα (weighted mean of Kα1 and Kα2). Structure: a GGA-PBE-relaxed structure.
Lines closer than 0.1° are merged.

Top 10 peaks for 10° ≤ 2θ ≤ 80°, low angle first:
2θ (°), d_spacing, I/Imax
14.88, 5.954, 27
30.02, 2.977, 17
30.63, 2.919, 85
35.57, 2.524, 42
37.49, 2.399, 100
40.45, 2.230, 37
42.47, 2.129, 54
62.73, 1.481, 29
63.50, 1.465, 20
66.81, 1.400, 28

Structure:
Cell: 7.6230 7.6230 7.6230 Å, 127.60 127.60 77.28°
Positions (direct):
Sc1 0.0000 0.0000 0.0000
Sc2 0.5000 0.5000 0.0000
Sn1 0.0149 0.5149 0.8133
Sn2 0.2016 0.0149 0.5000
Sn3 0.2984 0.7984 0.8133
Sn4 0.4851 0.2984 0.5000
Sn5 0.5149 0.7016 0.5000
Sn6 0.7016 0.2016 0.1867
Sn7 0.7984 0.9851 0.5000
Sn8 0.9851 0.4851 0.1867
Ru1 0.2500 0.2500 0.0000
Ru2 0.7500 0.7500 0.0000

Record 2
This entry pairs a crystal structure of Sr8LiZn2 with its computed powder diffraction line list. Radiation: Cu Kα (weighted mean of Kα1 and Kα2). Structure: a GGA-PBE-relaxed structure.
Lines closer than 0.1° are merged.

Top 10 peaks for 10° ≤ 2θ ≤ 80°, low angle first:
2θ (°), d_spacing, I/Imax
21.47, 4.139, 20
23.00, 3.867, 23
25.79, 3.454, 69
27.64, 3.227, 100
28.24, 3.160, 25
29.76, 3.002, 35
31.01, 2.884, 25
31.86, 2.809, 21
32.45, 2.759, 34
38.50, 2.338, 26

Structure:
Cell: 9.1302 9.1302 6.4717 Å, 98.57 98.57 111.61°
Positions (direct):
Sr1 0.0000 0.0000 0.0000
Sr2 0.0495 0.3126 0.6070
Sr3 0.1391 0.6219 0.1980
Sr4 0.3126 0.0495 0.6070
Sr5 0.4484 0.7116 0.7890
Sr6 0.6219 0.1391 0.1980
Sr7 0.7116 0.4484 0.7890
Sr8 0.7612 0.7612 0.3958
Li1 0.3806 0.3806 0.1926
Zn1 0.0673 0.6939 0.6983
Zn2 0.6939 0.0673 0.6983

Record 3
This entry pairs a crystal structure of LaFeTe2P with its computed powder diffraction line list. Radiation: Cu Kα (weighted mean of Kα1 and Kα2). Structure: a GGA-PBE-relaxed structure.
Lines closer than 0.1° are merged.

Top 10 peaks for 10° ≤ 2θ ≤ 80°, low angle first:
2θ (°), d_spacing, I/Imax
14.56, 6.083, 63
17.66, 5.022, 65
27.30, 3.267, 44
29.36, 3.042, 100
34.47, 2.602, 50
35.76, 2.511, 29
42.01, 2.151, 37
45.90, 1.977, 23
46.92, 1.937, 54
56.32, 1.634, 31

Structure:
Cell: 6.0834 6.0834 5.0224 Å, 90.00 90.00 90.00°
Positions (direct):
La1 0.0000 0.0000 0.0000
Fe1 0.0000 0.0000 0.5000
Te1 0.0000 0.5000 0.0000
Te2 0.5000 0.0000 0.0000
P1 0.5000 0.5000 0.5000

Record 4
This entry pairs a crystal structure of Er2Ga6Rh with its computed powder diffraction line list. Radiation: Cu Kα (weighted mean of Kα1 and Kα2). Structure: a GGA-PBE-relaxed structure.
Lines closer than 0.1° are merged.

Top 10 peaks for 10° ≤ 2θ ≤ 80°, low angle first:
2θ (°), d_spacing, I/Imax
30.78, 2.905, 37
34.16, 2.625, 46
35.08, 2.558, 82
35.87, 2.504, 68
36.60, 2.455, 42
38.36, 2.346, 49
39.20, 2.298, 54
39.75, 2.268, 100
57.56, 1.601, 36
64.12, 1.452, 38

Structure:
Cell: 5.8135 5.8135 5.7368 Å, 91.84 91.84 58.90°
Positions (direct):
Er1 0.1635 0.1635 0.3543
Er2 0.8365 0.8365 0.6457
Ga1 0.1451 0.6701 0.1756
Ga2 0.3268 0.3268 0.8102
Ga3 0.3299 0.8549 0.8244
Ga4 0.6701 0.1451 0.1756
Ga5 0.6732 0.6732 0.1898
Ga6 0.8549 0.3299 0.8244
Rh1 0.5000 0.5000 0.5000